TmNi2B2O6: computed powder XRD pattern (Cu Kα, 1.54184 Å), based on a GGA+U-relaxed structure.

Structural model:
```
data_TmNi2B2O6
_space_group_name_H-M_alt 'P -3'
_space_group_IT_number 147
_space_group_name_Hall '-P 3'
_cell_length_a 5.0437
_cell_length_b 5.0437
_cell_length_c 5.8784
_cell_angle_alpha 90.00
_cell_angle_beta 90.00
_cell_angle_gamma 120.00
loop_
_atom_site_label
_atom_site_type_symbol
_atom_site_fract_x
_atom_site_fract_y
_atom_site_fract_z
Tm1 Tm 0.0000 0.0000 0.0000
Ni1 Ni 0.3333 0.6667 0.3244
B1 B 0.3333 0.6667 0.7705
O1 O 0.0657 0.6806 0.7718
```

The 12 most intense peaks (2θ from 15° to 90°), in order of falling intensity:
| Position (°2θ) | Rel. int. | (hkl) |
| --- | --- | --- |
| 25.40 | 1000 | 0 1 1 |
| 36.86 | 538 | 1 0 2 |
| 35.60 | 370 | 1 1 0 |
| 44.24 | 284 | 2 0 1 |
| 58.03 | 238 | 1 2 1 |
| 15.07 | 211 | 0 0 1 |
| 59.77 | 206 | 1 1 3 |
| 64.77 | 171 | 3 -1 2 |
| 52.18 | 168 | 0 2 2 |
| 20.33 | 135 | 1 0 0 |
| 38.86 | 128 | 2 -1 1 |
| 63.94 | 112 | 3 0 0 |